(1)
Diffraction record for Th2TcPb. The XRD peak list is theoretical, not measured: it uses a crystal structure in Alexandria, relaxed with GGA-PBE and CuKα.
No peak broadening, texture or thermal motion is included.

Main lines, sorted by position (10° ≤ 2θ ≤ 90°):
2θ (°), Rel. int.
27.82, 29
28.22, 31
28.61, 100
29.75, 58
32.56, 21
34.16, 58
35.70, 18
37.85, 24
39.74, 53
40.90, 16
42.60, 21
66.24, 17

Structural model:
a = 6.6086 Å, b = 6.2438 Å, c = 11.3439 Å
α = 90.00°, β = 104.12°, γ = 90.00°
Sites, in units of the cell vectors:
Th  0.1557  0.1658  0.1170
Th  0.1557  0.8342  0.6170
Th  0.2704  0.3311  0.8236
Th  0.2704  0.6689  0.3236
Th  0.7296  0.3311  0.6764
Th  0.7296  0.6689  0.1764
Th  0.8443  0.1658  0.3830
Th  0.8443  0.8342  0.8830
Tc  0.1106  0.3314  0.5804
Tc  0.1106  0.6686  0.0804
Tc  0.8894  0.3314  0.9196
Tc  0.8894  0.6686  0.4196
Pb  0.3604  0.1798  0.4219
Pb  0.3604  0.8202  0.9219
Pb  0.6396  0.1798  0.0781
Pb  0.6396  0.8202  0.5781



(2)
Diffraction record for LiAl2H4Pb2O4F6. The XRD peak list is theoretical, not measured: it uses a crystal structure in Alexandria, relaxed with GGA-PBE and CuKα.
No peak broadening, texture or thermal motion is included.

Main lines, sorted by position (10° ≤ 2θ ≤ 90°):
2θ (°), Rel. int.
12.28, 91
15.87, 62
20.37, 100
23.83, 84
24.66, 83
25.24, 54
26.42, 47
27.46, 56
28.00, 48
28.70, 64
29.49, 47
34.89, 47

Structural model:
a = 4.8397 Å, b = 6.7247 Å, c = 7.6141 Å
α = 104.12°, β = 98.16°, γ = 104.68°
Sites, in units of the cell vectors:
Li  0.0000  0.0000  0.0000
Al  0.6375  0.2972  0.8862
Al  0.9736  0.6881  0.1799
H  0.1488  0.3681  0.0676
H  0.4698  0.6406  0.9986
H  0.6388  0.7036  0.3868
H  0.9931  0.2786  0.6888
Pb  0.1803  0.6976  0.6470
Pb  0.4945  0.2619  0.4062
O  0.6361  0.5854  0.9803
O  0.7817  0.6224  0.3711
O  0.8547  0.3644  0.7016
O  0.9685  0.4017  0.0890
F  0.1958  0.7720  0.0132
F  0.3081  0.1975  0.6954
F  0.3234  0.7829  0.3566
F  0.3799  0.2112  0.0340
F  0.6960  0.0301  0.8322
F  0.9443  0.9623  0.2355



(3)
Diffraction record for TbSc2O4. The XRD peak list is theoretical, not measured: it uses a crystal structure in Alexandria, relaxed with GGA-PBE and CuKα.
No peak broadening, texture or thermal motion is included.

Main lines, sorted by position (10° ≤ 2θ ≤ 90°):
2θ (°), Rel. int.
16.75, 21
27.52, 82
32.39, 100
43.01, 12
48.66, 33
51.82, 39
56.81, 36
59.67, 6
64.26, 14
66.93, 12
78.00, 18
80.45, 16

Structural model:
a = 6.4809 Å, b = 6.4809 Å, c = 6.4809 Å
α = 119.95°, β = 119.95°, γ = 90.08°
Sites, in units of the cell vectors:
Tb  0.3750  0.6250  0.7500
Tb  0.6250  0.3750  0.2500
Sc  0.0000  0.0000  0.0000
Sc  0.0000  0.0000  0.5000
Sc  0.0000  0.5000  0.0000
Sc  0.5000  0.0000  0.5000
O  0.2129  0.2378  0.9751
O  0.2374  0.7622  0.4751
O  0.2378  0.2129  0.4751
O  0.2378  0.7626  0.0249
O  0.7622  0.2374  0.9751
O  0.7622  0.7871  0.5249
O  0.7626  0.2378  0.5249
O  0.7871  0.7622  0.0249



(4)
Diffraction record for LaReHRh. The XRD peak list is theoretical, not measured: it uses a crystal structure in Alexandria, relaxed with GGA-PBE and CuKα.
No peak broadening, texture or thermal motion is included.

Main lines, sorted by position (10° ≤ 2θ ≤ 90°):
2θ (°), Rel. int.
19.03, 13
31.15, 100
38.61, 15
43.00, 45
46.22, 11
47.41, 7
54.04, 21
59.15, 25
65.25, 13
71.42, 18
78.80, 7
81.37, 7

Structural model:
a = 4.2072 Å, b = 4.2072 Å, c = 4.6639 Å
α = 90.00°, β = 90.00°, γ = 120.00°
Sites, in units of the cell vectors:
La  0.0000  0.0000  0.0000
Re  0.6667  0.3333  0.5633
H  0.6667  0.3333  0.9374
Rh  0.3333  0.6667  0.4587



(5)
Diffraction record for Y7HoTh2. The XRD peak list is theoretical, not measured: it uses a crystal structure in Alexandria, relaxed with GGA-PBE and CuKα.
No peak broadening, texture or thermal motion is included.

Main lines, sorted by position (10° ≤ 2θ ≤ 90°):
2θ (°), Rel. int.
15.21, 10
30.67, 100
35.52, 34
35.65, 16
51.07, 6
51.18, 23
51.27, 6
60.75, 14
60.84, 17
60.99, 10
63.90, 9
83.38, 7

Structural model:
a = 6.1755 Å, b = 6.1870 Å, c = 9.4390 Å
α = 108.96°, β = 102.43°, γ = 99.71°
Sites, in units of the cell vectors:
Y  0.0000  0.0000  0.0000
Y  0.1054  0.1993  0.7013
Y  0.1994  0.4014  0.4008
Y  0.3083  0.6035  0.0998
Y  0.6917  0.3965  0.9002
Y  0.8006  0.5986  0.5992
Y  0.8946  0.8007  0.2987
Ho  0.5000  0.0000  0.5000
Th  0.4044  0.8063  0.8019
Th  0.5956  0.1937  0.1981



(6)
Diffraction record for Zr4Tl2Cd3. The XRD peak list is theoretical, not measured: it uses a crystal structure in Alexandria, relaxed with GGA-PBE and CuKα.
No peak broadening, texture or thermal motion is included.

Main lines, sorted by position (10° ≤ 2θ ≤ 90°):
2θ (°), Rel. int.
22.83, 15
34.71, 100
36.64, 90
46.34, 5
51.35, 32
60.93, 19
64.73, 32
65.96, 16
73.24, 11
77.90, 10
84.79, 15
88.18, 14

Structural model:
a = 4.9057 Å, b = 4.9057 Å, c = 9.7702 Å
α = 90.00°, β = 90.00°, γ = 120.00°
Sites, in units of the cell vectors:
Zr  0.0000  0.0000  0.1682
Zr  0.0000  0.0000  0.8318
Zr  0.3333  0.6667  0.6185
Zr  0.6667  0.3333  0.3815
Tl  0.3333  0.6667  0.2911
Tl  0.6667  0.3333  0.7089
Cd  0.0000  0.0000  0.5000
Cd  0.3333  0.6667  0.9629
Cd  0.6667  0.3333  0.0371



(7)
Diffraction record for CsH2O. The XRD peak list is theoretical, not measured: it uses a crystal structure in Alexandria, relaxed with GGA-PBE and CuKα.
No peak broadening, texture or thermal motion is included.

Main lines, sorted by position (10° ≤ 2θ ≤ 90°):
2θ (°), Rel. int.
18.79, 27
20.89, 87
28.24, 100
36.61, 22
41.46, 33
42.53, 19
43.85, 20
46.87, 17
53.87, 12
57.34, 12
58.41, 12
60.89, 21

Structural model:
a = 6.8126 Å, b = 6.8126 Å, c = 6.8126 Å
α = 77.23°, β = 77.23°, γ = 77.23°
Sites, in units of the cell vectors:
Cs  0.0000  0.0000  0.0000
Cs  0.3188  0.3188  0.3188
Cs  0.6812  0.6812  0.6812
H  0.1184  0.5000  0.8816
H  0.1184  0.8816  0.5000
H  0.5000  0.1184  0.8816
H  0.5000  0.8816  0.1184
H  0.8816  0.1184  0.5000
H  0.8816  0.5000  0.1184
O  0.0000  0.0000  0.5000
O  0.0000  0.5000  0.0000
O  0.5000  0.0000  0.0000



(8)
Diffraction record for Na6MgHg5. The XRD peak list is theoretical, not measured: it uses a crystal structure in Alexandria, relaxed with GGA-PBE and CuKα.
No peak broadening, texture or thermal motion is included.

Main lines, sorted by position (10° ≤ 2θ ≤ 90°):
2θ (°), Rel. int.
18.13, 36
20.62, 99
25.31, 43
25.67, 57
31.60, 23
32.79, 25
32.94, 46
33.15, 100
36.36, 57
42.22, 26
49.80, 27
63.58, 21

Structural model:
a = 5.5741 Å, b = 6.9408 Å, c = 8.2351 Å
α = 90.00°, β = 97.87°, γ = 90.00°
Sites, in units of the cell vectors:
Na  0.0000  0.2399  0.0000
Na  0.0000  0.7601  0.0000
Na  0.2664  0.2528  0.6451
Na  0.2664  0.7472  0.6451
Na  0.7336  0.2528  0.3549
Na  0.7336  0.7472  0.3549
Mg  0.5000  0.5000  0.0000
Hg  0.2329  0.0000  0.3183
Hg  0.2355  0.5000  0.2990
Hg  0.5000  0.0000  0.0000
Hg  0.7645  0.5000  0.7010
Hg  0.7671  0.0000  0.6817